Computed powder X-ray diffraction pattern
Compound: KSm2TeSe4
Radiation: copper Kα
Structure: a structure optimized by DFT (PBE)
Kinematic intensities with the Lorentz-polarization factor, no thermal factor.

Top 10 peaks for 2θ from 15° to 90°, in order of rising 2θ:
two_theta	I (rel.)
22.7	173
25.8	350
27.3	184
29.7	1000
31.0	327
32.4	791
34.4	192
38.5	349
40.7	259
41.5	330

Unit cell a=7.7152 b=7.7152 c=15.6373 alpha=90.00 beta=90.00 gamma=147.24
Fractional coordinates of all 16 atoms:
1 K 0.1661 0.8339 0.7500
2 K 0.8339 0.1661 0.2500
3 Sm 0.3687 0.6313 0.5559
4 Sm 0.3687 0.6313 0.9441
5 Sm 0.6313 0.3687 0.0559
6 Sm 0.6313 0.3687 0.4441
7 Te 0.0945 0.9055 0.2500
8 Te 0.9055 0.0945 0.7500
9 Se 0.0000 0.0000 0.0000
10 Se 0.0000 0.0000 0.5000
11 Se 0.2656 0.7344 0.0962
12 Se 0.2656 0.7344 0.4038
13 Se 0.4994 0.5006 0.7500
14 Se 0.5006 0.4994 0.2500
15 Se 0.7344 0.2656 0.5962
16 Se 0.7344 0.2656 0.9038